This entry pairs a crystal structure of Sm3Zn2GaPt9 with its theoretical powder diffractogram. Radiation: Cu Kα, 1.54184 Å. Structure: DFT lattice parameters and positions (PBE).

Most intense lines, 2θ = 10–90°, in order of rising 2θ:
hkl, d [Å], 2theta, I (rel.)
0 2 1, 2.895, 30.89, 100
2 0 2, 2.257, 39.94, 75
0 0 3, 2.081, 43.48, 13
2 2 0, 1.886, 48.24, 44
4 0 1, 1.580, 58.39, 17
0 4 2, 1.447, 64.36, 19
0 2 4, 1.408, 66.37, 17
2 2 3, 1.398, 66.95, 23
2 4 1, 1.211, 79.04, 14
4 2 2, 1.148, 84.34, 18

Cell and atoms:
Lattice parameters (Å, degrees): 7.5455 7.5455 6.2435 90.00 90.00 120.00
Fractional positions:
Sm 0.0000 0.0000 0.0000
Sm 0.3333 0.6667 0.6683
Sm 0.6667 0.3333 0.3317
Zn 0.3333 0.6667 0.1673
Zn 0.6667 0.3333 0.8327
Ga 0.0000 0.0000 0.5000
Pt 0.0000 0.5000 0.0000
Pt 0.1658 0.3317 0.3312
Pt 0.1658 0.8342 0.3312
Pt 0.3317 0.1658 0.6688
Pt 0.5000 0.0000 0.0000
Pt 0.5000 0.5000 0.0000
Pt 0.6683 0.8342 0.3312
Pt 0.8342 0.1658 0.6688
Pt 0.8342 0.6683 0.6688